(1)
Theoretical powder diffraction line list of Al2WAu for Cu Ka, from a structure optimized by DFT (GGA-PBE).
Kinematic intensities with the Lorentz-polarization factor, no thermal factor.

Cell: 4.5197 4.5197 4.5197 Å, 60.00 60.00 60.00°
Sites, in units of the cell vectors:
1 Al 0.0000 0.0000 0.0000
2 Al 0.2500 0.2500 0.2500
3 W 0.5000 0.5000 0.5000
4 Au 0.7500 0.7500 0.7500

Principal peaks in the range 10° ≤ 2θ ≤ 90°, in order of rising 2θ:
2θ 24.12, intensity 67.8
2θ 39.89, intensity 100.0
2θ 47.16, intensity 35.6
2θ 57.69, intensity 17.1
2θ 63.44, intensity 14.9
2θ 72.44, intensity 35.2
2θ 77.62, intensity 11.3
2θ 86.04, intensity 11.5



(2)
Theoretical powder diffraction line list of BaPr2CoS5 for Cu Ka, from a structure optimized by DFT (GGA-PBE).
Kinematic intensities with the Lorentz-polarization factor, no thermal factor.

Cell: 8.7637 8.7637 8.7637 Å, 126.50 126.50 79.08°
Sites, in units of the cell vectors:
1 Ba 0.2500 0.2500 0.0000
2 Ba 0.7500 0.7500 0.0000
3 Pr 0.1625 0.6625 0.8251
4 Pr 0.3375 0.1625 0.5000
5 Pr 0.6625 0.8375 0.5000
6 Pr 0.8375 0.3375 0.1749
7 Co 0.2500 0.7500 0.5000
8 Co 0.7500 0.2500 0.5000
9 S 0.0000 0.0000 0.0000
10 S 0.0093 0.2171 0.5000
11 S 0.2171 0.7171 0.2078
12 S 0.2829 0.4907 0.5000
13 S 0.4907 0.9907 0.2078
14 S 0.5000 0.5000 0.0000
15 S 0.5093 0.0093 0.7922
16 S 0.7171 0.5093 0.5000
17 S 0.7829 0.2829 0.7922
18 S 0.9907 0.7829 0.5000

Principal peaks in the range 10° ≤ 2θ ≤ 90°, in order of rising 2θ:
2θ 26.14, intensity 100.0
2θ 26.37, intensity 28.8
2θ 32.09, intensity 20.9
2θ 32.22, intensity 86.5
2θ 36.00, intensity 36.7
2θ 42.00, intensity 17.2
2θ 42.11, intensity 29.5
2θ 46.42, intensity 15.8
2θ 48.04, intensity 23.3
2θ 51.87, intensity 27.0
2θ 59.10, intensity 19.9
2θ 67.17, intensity 17.1